For Li6CrFeP2C2O14, a crystal structure in Alexandria, relaxed with PBE+U gives the theoretical powder diffraction line list in this record (Cu Kα).
Kinematic intensities with the Lorentz-polarization factor, no thermal factor.

Crystal structure
Lattice parameters (Å, degrees): 5.0299 6.4429 8.6621 90.00 96.39 90.00
Atoms (fractional coordinates):
Li1 0.0000 0.0000 0.0000
Li2 0.0842 0.2698 0.6177
Li3 0.0842 0.7302 0.6177
Li4 0.5234 0.2326 0.1597
Li5 0.5234 0.7674 0.1597
Li6 0.6068 0.5000 0.7835
Cr1 0.6040 0.0000 0.5567
Fe1 0.0094 0.5000 0.2214
P1 0.0630 0.0000 0.2964
P2 0.5353 0.5000 0.4785
C1 0.1351 0.5000 0.9291
C2 0.4745 0.0000 0.8512
O1 0.2105 0.5000 0.7903
O2 0.2224 0.5000 0.4621
O3 0.3081 0.0000 0.7219
O4 0.3130 0.5000 0.0522
O5 0.3723 0.0000 0.3061
O6 0.3835 0.0000 0.9855
O7 0.6292 0.5000 0.3162
O8 0.6468 0.3137 0.5818
O9 0.6468 0.6863 0.5818
O10 0.7260 0.0000 0.8382
O11 0.8860 0.5000 0.9518
O12 0.9468 0.1878 0.1964
O13 0.9468 0.8122 0.1964
O14 0.9743 0.0000 0.4613

Peak list (12 most intense, 2θ from 15° to 90°, low angle first)
h k l, 2theta, d_spacing, Rel. int.
0 1 1, 17.2, 5.158, 20.3
1 0 -1, 19.5, 4.548, 30.6
1 0 1, 21.5, 4.128, 64.2
1 1 1, 25.6, 3.476, 22.6
1 0 -2, 25.8, 3.458, 33.3
0 2 0, 27.7, 3.221, 100.0
0 0 3, 31.2, 2.869, 20.0
1 0 -3, 34.2, 2.618, 13.0
2 0 -1, 36.3, 2.475, 37.0
1 1 3, 40.4, 2.230, 34.5
0 2 4, 51.0, 1.789, 13.5
0 4 0, 57.2, 1.611, 16.4